1.
For Cs3RbH4, the GGA-PBE geometry in Alexandria gives the calculated X-ray powder pattern in this record (Cu Kα X-rays).

```
Cs3RbH4
1.0
6.288 0.000 0.000
0.000 6.288 0.000
0.000 0.000 6.288
Cs Rb H
3 1 4
Direct
0.000 0.000 0.500
0.000 0.500 0.000
0.500 0.000 0.000
0.500 0.500 0.500
0.000 0.000 0.000
0.000 0.500 0.500
0.500 0.000 0.500
0.500 0.500 0.000
```

The 8 most intense peaks (2θ = 15–90°), by angle:
2θ (°), intensity
24.52, 100
28.39, 55
40.58, 41
47.99, 48
50.27, 14
64.61, 20
66.50, 19
79.15, 15

---

2.
For Cs3Rb2H, the GGA-PBE geometry in Alexandria gives the calculated X-ray powder pattern in this record (Cu Kα X-rays).

```
Cs3Rb2H
1.0
11.950 -4.229 0.000
11.950 4.229 0.000
-1.853 0.000 9.232
Cs Rb H
6 4 2
Direct
0.065 0.935 0.750
0.410 0.412 0.455
0.412 0.410 0.955
0.588 0.590 0.045
0.590 0.588 0.545
0.935 0.065 0.250
0.208 0.209 0.104
0.209 0.208 0.604
0.791 0.792 0.396
0.792 0.791 0.896
0.433 0.567 0.750
0.567 0.433 0.250
```

The 8 most intense peaks (2θ = 15–90°), by angle:
2θ (°), intensity
21.01, 46
21.67, 100
22.04, 24
22.91, 80
32.83, 26
39.30, 26
44.37, 27
51.83, 18

---

3.
For CsRbZnHSe, the GGA-PBE geometry in Alexandria gives the calculated X-ray powder pattern in this record (Cu Kα X-rays).

```
CsRbZnHSe
1.0
5.021 0.000 0.000
0.000 6.215 0.000
-2.447 0.000 7.256
Cs Rb Zn H Se
1 1 1 1 1
Direct
0.000 0.000 0.000
0.342 0.500 0.683
0.736 0.000 0.476
0.937 0.500 0.880
0.245 0.000 0.494
```

The 8 most intense peaks (2θ = 15–90°), by angle:
2θ (°), intensity
18.78, 36
23.59, 89
24.54, 30
28.49, 100
28.73, 55
35.77, 31
38.74, 42
46.52, 57

---

4.
For CsRbZnHSe, the GGA-PBE geometry in Alexandria gives the calculated X-ray powder pattern in this record (Cu Kα X-rays).

```
CsRbZnHSe
1.0
5.090 0.000 0.000
0.000 4.575 0.000
-2.204 0.000 7.870
Cs Rb Zn H Se
1 1 1 1 1
Direct
0.000 0.000 0.000
0.697 0.000 0.460
0.256 0.500 0.651
0.001 0.500 0.745
0.159 0.500 0.349
```

The 8 most intense peaks (2θ = 15–90°), by angle:
2θ (°), intensity
18.10, 47
22.48, 42
26.66, 79
26.98, 100
29.95, 75
30.92, 54
34.16, 41
35.30, 44

---

5.
For Cs2RbSiH6, the GGA-PBE geometry in Alexandria gives the calculated X-ray powder pattern in this record (Cu Kα X-rays).

```
Cs2RbSiH6
1.0
5.735 0.000 0.000
0.000 8.551 0.000
0.000 0.000 10.017
Cs Rb Si H
4 2 2 12
Direct
0.250 0.000 0.142
0.250 0.500 0.142
0.750 0.000 0.858
0.750 0.500 0.858
0.250 0.250 0.510
0.750 0.750 0.490
0.250 0.750 0.843
0.750 0.250 0.157
0.046 0.750 0.732
0.051 0.750 0.960
0.250 0.561 0.846
0.250 0.939 0.846
0.449 0.750 0.960
0.454 0.750 0.732
0.546 0.250 0.268
0.551 0.250 0.040
0.750 0.061 0.154
0.750 0.439 0.154
0.949 0.250 0.040
0.954 0.250 0.268
```

The 8 most intense peaks (2θ = 15–90°), by angle:
2θ (°), intensity
17.82, 63
20.64, 39
22.61, 70
23.58, 64
26.70, 52
27.49, 100
31.19, 40
31.63, 79

---

6.
For Cs3Rb4ZnH8, the GGA-PBE geometry in Alexandria gives the calculated X-ray powder pattern in this record (Cu Kα X-rays).

```
Cs3Rb4ZnH8
1.0
7.427 -4.184 0.000
7.427 4.184 0.000
-4.684 0.000 6.928
Cs Rb Zn H
3 4 1 8
Direct
0.000 0.000 0.000
0.000 0.500 0.000
0.500 0.000 0.000
0.000 0.000 0.500
0.000 0.500 0.500
0.500 0.000 0.500
0.500 0.500 0.500
0.500 0.500 0.000
0.228 0.228 0.714
0.258 0.258 0.272
0.343 0.656 0.842
0.344 0.657 0.158
0.656 0.343 0.842
0.657 0.344 0.158
0.742 0.742 0.728
0.772 0.772 0.286
```

The 8 most intense peaks (2θ = 15–90°), by angle:
2θ (°), intensity
25.76, 100
29.02, 19
30.22, 35
42.34, 13
42.45, 13
43.26, 12
49.47, 12
51.03, 30

---

7.
For CsRbZnH4, the GGA-PBE geometry in Alexandria gives the calculated X-ray powder pattern in this record (Cu Kα X-rays).

```
CsRbZnH4
1.0
2.968 -5.364 0.000
2.968 5.364 0.000
0.000 0.000 9.498
Cs Rb Zn H
2 2 2 8
Direct
0.000 0.000 0.000
0.000 0.000 0.500
0.304 0.696 0.750
0.696 0.304 0.250
0.360 0.640 0.250
0.640 0.360 0.750
0.225 0.323 0.250
0.271 0.729 0.106
0.271 0.729 0.394
0.323 0.225 0.750
0.677 0.775 0.250
0.729 0.271 0.606
0.729 0.271 0.894
0.775 0.677 0.750
```

The 8 most intense peaks (2θ = 15–90°), by angle:
2θ (°), intensity
25.04, 53
25.41, 100
29.16, 60
30.11, 32
37.89, 17
39.55, 33
48.51, 28
49.10, 30

---

8.
For Cs3ReH6, the GGA-PBE geometry in Alexandria gives the calculated X-ray powder pattern in this record (Cu Kα X-rays).

```
Cs3ReH6
1.0
5.652 -3.280 0.000
5.652 3.280 0.000
-3.754 0.000 5.379
Cs Re H
3 1 6
Direct
0.000 0.000 0.000
0.250 0.250 0.749
0.750 0.750 0.251
0.500 0.500 0.500
0.305 0.690 0.305
0.307 0.307 0.305
0.310 0.695 0.695
0.690 0.305 0.305
0.693 0.693 0.695
0.695 0.310 0.695
```

The 8 most intense peaks (2θ = 15–90°), by angle:
2θ (°), intensity
27.15, 100
27.30, 49
38.84, 29
47.87, 16
48.03, 21
48.11, 10
48.26, 15
63.30, 9

---

9.
For CsH8Rh2, the GGA-PBE geometry in Alexandria gives the calculated X-ray powder pattern in this record (Cu Kα X-rays).

```
CsH8Rh2
1.0
2.553 -4.163 0.000
2.553 4.163 0.000
-0.033 0.000 6.023
Cs H Rh
1 8 2
Direct
0.000 0.000 0.000
0.234 0.973 0.499
0.445 0.445 0.657
0.458 0.458 0.344
0.518 0.911 0.336
0.520 0.913 0.664
0.911 0.518 0.336
0.913 0.520 0.664
0.973 0.234 0.499
0.251 0.610 0.500
0.610 0.251 0.500
```

The 8 most intense peaks (2θ = 15–90°), by angle:
2θ (°), intensity
25.19, 72
25.30, 71
26.02, 100
29.67, 59
35.16, 30
36.86, 59
47.94, 28
48.07, 28

---

10.
For Cs3H6Rh, the GGA-PBE geometry in Alexandria gives the calculated X-ray powder pattern in this record (Cu Kα X-rays).

```
Cs3H6Rh
1.0
6.459 0.000 0.000
0.000 6.459 0.000
0.000 0.000 9.123
Cs H Rh
6 12 2
Direct
0.000 0.000 0.000
0.000 0.500 0.250
0.000 0.500 0.750
0.500 0.000 0.250
0.500 0.000 0.750
0.500 0.500 0.500
0.000 0.000 0.315
0.000 0.000 0.685
0.183 0.186 0.500
0.186 0.817 0.500
0.314 0.317 0.000
0.317 0.686 0.000
0.500 0.500 0.185
0.500 0.500 0.815
0.683 0.314 0.000
0.686 0.683 0.000
0.814 0.183 0.500
0.817 0.814 0.500
0.000 0.000 0.500
0.500 0.500 0.000
```

The 8 most intense peaks (2θ = 15–90°), by angle:
2θ (°), intensity
27.63, 100
39.48, 19
48.87, 40
57.06, 13
64.55, 18
71.60, 4
78.37, 20
84.94, 1

---

11.
For CsZnH8Rh2, the GGA-PBE geometry in Alexandria gives the calculated X-ray powder pattern in this record (Cu Kα X-rays).

```
CsZnH8Rh2
1.0
2.409 1.391 7.134
-2.409 1.391 7.134
0.000 -2.782 7.134
Cs Zn H Rh
1 1 8 2
Direct
0.000 0.000 0.000
0.500 0.500 0.500
0.101 0.426 0.848
0.152 0.899 0.574
0.266 0.266 0.266
0.426 0.848 0.101
0.574 0.152 0.899
0.734 0.734 0.734
0.848 0.101 0.426
0.899 0.574 0.152
0.190 0.190 0.190
0.810 0.810 0.810
```

The 8 most intense peaks (2θ = 15–90°), by angle:
2θ (°), intensity
21.70, 46
24.96, 63
27.10, 65
29.90, 71
37.33, 100
45.43, 74
47.76, 40
74.78, 21

---

12.
For Cs2H6Ru, the GGA-PBE geometry in Alexandria gives the calculated X-ray powder pattern in this record (Cu Kα X-rays).

```
Cs2H6Ru
1.0
3.463 -5.374 0.000
3.463 5.374 0.000
0.000 0.000 6.697
Cs H Ru
4 12 2
Direct
0.171 0.817 0.000
0.183 0.829 0.500
0.817 0.171 0.500
0.829 0.183 0.000
0.216 0.445 0.270
0.216 0.445 0.730
0.361 0.461 0.000
0.445 0.216 0.230
0.445 0.216 0.770
0.461 0.361 0.500
0.539 0.639 0.500
0.555 0.784 0.230
0.555 0.784 0.770
0.639 0.539 0.000
0.784 0.555 0.270
0.784 0.555 0.730
0.500 0.500 0.250
0.500 0.500 0.750
```

The 8 most intense peaks (2θ = 15–90°), by angle:
2θ (°), intensity
25.73, 63
28.04, 100
30.80, 60
31.48, 39
41.09, 37
46.82, 24
52.27, 24
62.70, 20